No. 1
Computed powder diffractogram
Compound: Na4MgCr2O8
Radiation: CuKα
Structure: the PBE+U geometry in the Materials Project
Peak positions follow from Bragg's law for the DFT cell and can differ from measured ones.

Main lines, in order of rising 2θ (10° ≤ 2θ ≤ 80°):
2theta	d [Å]	I_rel
16.19	5.474	89.8
21.43	4.146	75.2
22.18	4.009	75.5
27.11	3.289	78.5
30.30	2.949	67.1
31.74	2.819	96.7
31.96	2.800	100.0
35.52	2.527	68.8

Structural model:
```
data_Na4MgCr2O8
_symmetry_space_group_name_H-M 'P 1'
_symmetry_Int_Tables_number 1
_symmetry_space_group_name_Hall 'P 1'
_cell_length_a 5.911
_cell_length_b 6.578
_cell_length_c 6.058
_cell_angle_alpha 90.00
_cell_angle_beta 115.37
_cell_angle_gamma 90.00
loop_
_atom_site_label
_atom_site_type_symbol
_atom_site_fract_x
_atom_site_fract_y
_atom_site_fract_z
Na1 Na 0.000 0.000 0.000
Na2 Na 0.156 0.500 0.413
Na3 Na 0.492 0.257 0.041
Na4 Na 0.492 0.743 0.041
Mg1 Mg 0.547 0.000 0.494
Cr1 Cr 0.098 0.000 0.484
Cr2 Cr 0.831 0.500 0.691
O1 O 0.143 0.500 0.819
O2 O 0.243 0.000 0.803
O3 O 0.247 0.190 0.368
O4 O 0.247 0.810 0.368
O5 O 0.729 0.285 0.773
O6 O 0.729 0.715 0.773
O7 O 0.731 0.500 0.389
O8 O 0.756 0.000 0.319
```

***

No. 2
Computed powder diffractogram
Compound: Na4MgCr2O8
Radiation: CuKα
Structure: the PBE+U geometry in the Materials Project
Peak positions follow from Bragg's law for the DFT cell and can differ from measured ones.

Main lines, in order of rising 2θ (10° ≤ 2θ ≤ 80°):
2theta	d [Å]	I_rel
17.46	5.080	44.9
21.30	4.171	82.8
24.37	3.653	74.3
30.13	2.966	100.0
30.36	2.944	86.7
30.71	2.911	46.7
33.13	2.704	89.9
54.17	1.693	44.8

Structural model:
```
data_Na4MgCr2O8
_symmetry_space_group_name_H-M 'P 1'
_symmetry_Int_Tables_number 1
_symmetry_space_group_name_Hall 'P 1'
_cell_length_a 7.306
_cell_length_b 5.823
_cell_length_c 5.823
_cell_angle_alpha 60.74
_cell_angle_beta 90.00
_cell_angle_gamma 90.00
loop_
_atom_site_label
_atom_site_type_symbol
_atom_site_fract_x
_atom_site_fract_y
_atom_site_fract_z
Na1 Na 0.000 0.000 0.000
Na2 Na 0.221 0.641 0.641
Na3 Na 0.500 0.397 0.397
Na4 Na 0.779 0.641 0.641
Mg1 Mg 0.500 0.838 0.838
Cr1 Cr 0.000 0.313 0.313
Cr2 Cr 0.500 0.107 0.107
O1 O 0.000 0.447 0.984
O2 O 0.000 0.984 0.447
O3 O 0.183 0.411 0.411
O4 O 0.318 0.985 0.985
O5 O 0.500 0.463 0.951
O6 O 0.500 0.951 0.463
O7 O 0.682 0.985 0.985
O8 O 0.817 0.411 0.411
```

***

No. 3
Computed powder diffractogram
Compound: Na8MgCr2O8
Radiation: CuKα
Structure: the PBE+U geometry in the Materials Project
Peak positions follow from Bragg's law for the DFT cell and can differ from measured ones.

Main lines, in order of rising 2θ (10° ≤ 2θ ≤ 80°):
2theta	d [Å]	I_rel
16.33	5.428	54.5
19.21	4.621	41.4
19.86	4.470	36.4
33.17	2.701	38.8
34.24	2.619	31.6
36.69	2.449	62.7
38.16	2.359	100.0
40.05	2.251	27.1

Structural model:
```
data_Na8MgCr2O8
_symmetry_space_group_name_H-M 'P 1'
_symmetry_Int_Tables_number 1
_symmetry_space_group_name_Hall 'P 1'
_cell_length_a 5.567
_cell_length_b 6.045
_cell_length_c 9.082
_cell_angle_alpha 72.50
_cell_angle_beta 87.71
_cell_angle_gamma 70.55
loop_
_atom_site_label
_atom_site_type_symbol
_atom_site_fract_x
_atom_site_fract_y
_atom_site_fract_z
Na1 Na 0.000 0.000 0.000
Na2 Na 0.000 0.356 0.206
Na3 Na 0.006 0.560 0.767
Na4 Na 0.024 0.776 0.369
Na5 Na 0.352 0.837 0.844
Na6 Na 0.505 0.676 0.555
Na7 Na 0.514 0.837 0.204
Na8 Na 0.517 0.284 0.370
Mg1 Mg 0.573 0.215 0.748
Cr1 Cr 0.054 0.221 0.540
Cr2 Cr 0.496 0.346 0.025
O1 O 0.239 0.029 0.417
O2 O 0.286 0.380 0.584
O3 O 0.293 0.590 0.117
O4 O 0.385 0.129 0.941
O5 O 0.625 0.475 0.825
O6 O 0.747 0.125 0.182
O7 O 0.799 0.501 0.410
O8 O 0.920 0.997 0.719
```

***

No. 4
Computed powder diffractogram
Compound: Na4MgCr2O8
Radiation: CuKα
Structure: the PBE+U geometry in the Materials Project
Peak positions follow from Bragg's law for the DFT cell and can differ from measured ones.

Main lines, in order of rising 2θ (10° ≤ 2θ ≤ 80°):
2theta	d [Å]	I_rel
10.51	8.415	23.7
16.87	5.255	39.2
18.18	4.881	100.0
18.85	4.709	34.9
20.52	4.328	19.1
21.12	4.207	19.8
26.23	3.398	27.6
31.07	2.879	50.4

Structural model:
```
data_Na4MgCr2O8
_symmetry_space_group_name_H-M 'P 1'
_symmetry_Int_Tables_number 1
_symmetry_space_group_name_Hall 'P 1'
_cell_length_a 5.761
_cell_length_b 5.950
_cell_length_c 8.817
_cell_angle_alpha 85.48
_cell_angle_beta 73.04
_cell_angle_gamma 62.26
loop_
_atom_site_label
_atom_site_type_symbol
_atom_site_fract_x
_atom_site_fract_y
_atom_site_fract_z
Na1 Na 0.167 0.199 0.077
Na2 Na 0.280 0.213 0.674
Na3 Na 0.720 0.787 0.326
Na4 Na 0.833 0.801 0.923
Mg1 Mg 0.500 0.500 0.000
Cr1 Cr 0.499 0.637 0.730
Cr2 Cr 0.501 0.363 0.270
O1 O 0.187 0.577 0.253
O2 O 0.292 0.495 0.844
O3 O 0.407 0.858 0.890
O4 O 0.422 0.788 0.571
O5 O 0.578 0.212 0.429
O6 O 0.593 0.142 0.110
O7 O 0.708 0.505 0.156
O8 O 0.813 0.423 0.747
```

***

No. 5
Computed powder diffractogram
Compound: NaMg6CrO8
Radiation: CuKα
Structure: the PBE+U geometry in the Materials Project
Peak positions follow from Bragg's law for the DFT cell and can differ from measured ones.

Main lines, in order of rising 2θ (10° ≤ 2θ ≤ 80°):
2theta	d [Å]	I_rel
23.25	3.825	10.3
36.32	2.473	25.1
41.81	2.161	51.2
42.38	2.133	100.0
61.05	1.518	56.2
61.49	1.508	27.9
73.56	1.288	9.1
77.13	1.237	25.0

Structural model:
```
data_NaMg6CrO8
_symmetry_space_group_name_H-M 'P 1'
_symmetry_Int_Tables_number 1
_symmetry_space_group_name_Hall 'P 1'
_cell_length_a 4.265
_cell_length_b 4.265
_cell_length_c 8.643
_cell_angle_alpha 90.00
_cell_angle_beta 90.00
_cell_angle_gamma 90.00
loop_
_atom_site_label
_atom_site_type_symbol
_atom_site_fract_x
_atom_site_fract_y
_atom_site_fract_z
Na1 Na 0.000 0.000 0.000
Mg1 Mg 0.000 0.000 0.500
Mg2 Mg 0.000 0.500 0.249
Mg3 Mg 0.000 0.500 0.751
Mg4 Mg 0.500 0.000 0.249
Mg5 Mg 0.500 0.000 0.751
Mg6 Mg 0.500 0.500 0.500
Cr1 Cr 0.500 0.500 0.000
O1 O 0.000 0.000 0.265
O2 O 0.000 0.000 0.735
O3 O 0.000 0.500 0.000
O4 O 0.000 0.500 0.500
O5 O 0.500 0.000 0.000
O6 O 0.500 0.000 0.500
O7 O 0.500 0.500 0.238
O8 O 0.500 0.500 0.762
```

***

No. 6
Computed powder diffractogram
Compound: Na4MgCr2O8
Radiation: CuKα
Structure: the PBE+U geometry in the Materials Project
Peak positions follow from Bragg's law for the DFT cell and can differ from measured ones.

Main lines, in order of rising 2θ (10° ≤ 2θ ≤ 80°):
2theta	d [Å]	I_rel
17.25	5.141	41.8
20.65	4.301	62.6
22.08	4.026	52.2
28.90	3.089	100.0
29.57	3.021	30.8
32.41	2.762	48.2
34.90	2.571	27.4
47.94	1.898	30.5

Structural model:
```
data_Na4MgCr2O8
_symmetry_space_group_name_H-M 'P 1'
_symmetry_Int_Tables_number 1
_symmetry_space_group_name_Hall 'P 1'
_cell_length_a 5.571
_cell_length_b 5.571
_cell_length_c 7.594
_cell_angle_alpha 91.91
_cell_angle_beta 91.91
_cell_angle_gamma 67.38
loop_
_atom_site_label
_atom_site_type_symbol
_atom_site_fract_x
_atom_site_fract_y
_atom_site_fract_z
Na1 Na 0.000 0.000 0.000
Na2 Na 0.000 0.000 0.500
Na3 Na 0.298 0.298 0.770
Na4 Na 0.702 0.702 0.230
Mg1 Mg 0.500 0.500 0.500
Cr1 Cr 0.338 0.338 0.243
Cr2 Cr 0.662 0.662 0.757
O1 O 0.243 0.243 0.052
O2 O 0.255 0.678 0.277
O3 O 0.264 0.264 0.447
O4 O 0.322 0.745 0.723
O5 O 0.678 0.255 0.277
O6 O 0.736 0.736 0.553
O7 O 0.745 0.322 0.723
O8 O 0.757 0.757 0.948
```